[1]
The following is a theoretical XRD peak list of NaLiVO3. It was derived from a DFT-relaxed cell (GGA+U, Alexandria), using Cu Kα X-rays.
Neutral-atom scattering factors, no anomalous dispersion.

Most intense lines, 2θ = 10–90°, sorted by position:
2θ (°), Rel. int.
15.9, 1000
22.5, 177
27.6, 486
38.2, 692
39.9, 128
45.9, 253
56.1, 345
61.2, 229

Structural model:
```
data_NaLiVO3
_chemical_formula_sum 'Na4 Li4 V4 O12'
_cell_length_a 3.0423
_cell_length_b 11.1587
_cell_length_c 7.9134
_cell_angle_alpha 90.00
_cell_angle_beta 90.00
_cell_angle_gamma 90.00
_space_group_name_H-M_alt 'C m c m'
_space_group_IT_number 63
_space_group_name_Hall '-C 2c 2'
loop_
_atom_site_label
_atom_site_fract_x
_atom_site_fract_y
_atom_site_fract_z
_atom_site_occupancy
Na1 0.0000 0.2001 0.2500 1
Li1 0.0000 0.0666 0.7500 1
V1 0.0000 0.5000 0.0000 1
O1 0.0000 0.1132 0.5295 1
O2 0.0000 0.4667 0.7500 1
```

---

[2]
The following is a theoretical XRD peak list of Na5Li3V8O24. It was derived from a DFT-relaxed cell (GGA+U, Alexandria), using Cu Kα X-rays.
Neutral-atom scattering factors, no anomalous dispersion.

Most intense lines, 2θ = 10–90°, sorted by position:
2θ (°), Rel. int.
17.9, 502
24.8, 864
26.1, 255
27.1, 1000
27.7, 336
28.7, 354
32.2, 451
49.8, 279

Structural model:
```
data_Na5Li3V8O24
_chemical_formula_sum 'Na10 Li6 V16 O48'
_cell_length_a 10.6072
_cell_length_b 9.4088
_cell_length_c 11.9141
_cell_angle_alpha 90.00
_cell_angle_beta 111.16
_cell_angle_gamma 90.00
_space_group_name_H-M_alt 'C 1 2 1'
_space_group_IT_number 5
loop_
_space_group_symop_operation_xyz
'x,y,z'
'-x,y,-z'
'x+1/2,y+1/2,z'
'-x+1/2,y+1/2,-z'
loop_
_atom_site_label
_atom_site_fract_x
_atom_site_fract_y
_atom_site_fract_z
_atom_site_occupancy
Na1 0.0000 0.0000 0.0000 1
Na2 0.0000 0.0080 0.5000 1
Na3 0.0000 0.6395 0.5000 1
Na4 0.0067 0.4486 0.2474 1
Li1 0.0000 0.6285 0.0000 1
Li2 0.0017 0.8289 0.7545 1
V1 0.2073 0.3189 0.9987 1
V2 0.2077 0.1332 0.2440 1
V3 0.2092 0.1397 0.7499 1
V4 0.2143 0.3150 0.5000 1
O1 0.1157 0.8249 0.4400 1
O2 0.1205 0.6353 0.1937 1
O3 0.1223 0.8218 0.9461 1
O4 0.1231 0.6264 0.7106 1
O5 0.1394 0.9702 0.2190 1
O6 0.1412 0.2218 0.0984 1
O7 0.1425 0.4832 0.9769 1
O8 0.1437 0.2378 0.8496 1
O9 0.1438 0.9754 0.7265 1
O10 0.1470 0.2223 0.6013 1
O11 0.1496 0.4780 0.4692 1
O12 0.1549 0.2274 0.3535 1
```

---

[3]
The following is a theoretical XRD peak list of NaLi3V4O12. It was derived from a DFT-relaxed cell (GGA+U, Alexandria), using Cu Kα X-rays.
Neutral-atom scattering factors, no anomalous dispersion.

Most intense lines, 2θ = 10–90°, sorted by position:
2θ (°), Rel. int.
12.6, 183
18.1, 481
24.4, 1000
25.4, 264
25.8, 699
26.6, 226
28.7, 329
30.7, 321

Structural model:
```
data_NaLi3V4O12
_chemical_formula_sum 'Na2 Li6 V8 O24'
_cell_length_a 10.8802
_cell_length_b 10.0545
_cell_length_c 5.8633
_cell_angle_alpha 90.00
_cell_angle_beta 115.57
_cell_angle_gamma 90.00
_space_group_name_H-M_alt 'C 1 2 1'
_space_group_IT_number 5
loop_
_space_group_symop_operation_xyz
'x,y,z'
'-x,y,-z'
'x+1/2,y+1/2,z'
'-x+1/2,y+1/2,-z'
loop_
_atom_site_label
_atom_site_fract_x
_atom_site_fract_y
_atom_site_fract_z
_atom_site_occupancy
Na1 0.0000 0.0000 0.0000 1
Li1 0.0000 0.0953 0.5000 1
Li2 0.0000 0.4074 0.0000 1
Li3 0.0000 0.4516 0.5000 1
V1 0.2006 0.6593 0.9940 1
V2 0.2117 0.8396 0.5026 1
O1 0.1164 0.5150 0.8812 1
O2 0.1169 0.3528 0.3704 1
O3 0.1305 0.1337 0.8660 1
O4 0.1393 0.9905 0.4248 1
O5 0.1486 0.7416 0.2145 1
O6 0.1581 0.7685 0.7269 1
```